This entry pairs a crystal structure of Ba2Sn3Au with its computed powder diffractogram. Radiation: Cu Kα. Structure: the PBE geometry in OQMD.
Lines closer than 0.1° are merged.

Structure:
Unit cell a=9.7892 b=9.6788 c=7.0053 alpha=69.75 beta=68.07 gamma=42.18
Atoms (fractional coordinates):
Ba 0.2464 0.7536 0.2464
Ba 0.2500 0.2500 0.2500
Ba 0.7500 0.7500 0.7500
Ba 0.7536 0.2464 0.7536
Sn 0.1705 0.1705 0.8295
Sn 0.1722 0.6571 0.8278
Sn 0.3429 0.8278 0.6571
Sn 0.6571 0.1722 0.3429
Sn 0.8278 0.3429 0.1722
Sn 0.8295 0.8295 0.1705
Au 0.3328 0.3328 0.6672
Au 0.6672 0.6672 0.3328

The 8 most intense peaks (10 to 80 degrees two-theta), sorted by position:
two_theta, I (rel.)
17.52, 14
27.63, 100
35.48, 20
37.14, 53
46.92, 24
52.30, 40
59.02, 12
61.30, 21